1.
Diffraction record for TmCo4B. The XRD peak list is simulated, not measured: it uses a crystal structure in the Materials Project, relaxed with PBE and copper Kα.
Intensities are scaled so that the largest is 100.

Structure:
Cell: 4.9587 4.9587 6.8273 Å, 90.00 90.00 120.00°
Space group P6/mmm (No. 191)
One atom of each set of equivalent atoms:
Tm1 0.0000 0.0000 0.0000 [1 per cell]
Tm2 0.0000 0.0000 0.5000 [1 per cell]
Co1 0.0000 0.5000 0.2117 [6 per cell]
Co2 0.3333 0.6667 0.5000 [2 per cell]
B1 0.3333 0.6667 0.0000 [2 per cell]

Peak list (8 most intense, 2θ from 15° to 90°, in order of falling intensity)
2.006 Å, intensity 100.0; 2.672 Å, intensity 95.6; 2.147 Å, intensity 73.6; 2.479 Å, intensity 34.0; 1.466 Å, intensity 30.5; 1.320 Å, intensity 26.9; 4.294 Å, intensity 20.4; 1.240 Å, intensity 20.1

2.
Diffraction record for ReGe2. The XRD peak list is simulated, not measured: it uses a crystal structure in the Materials Project, relaxed with PBE and copper Kα.
Intensities are scaled so that the largest is 100.

Structure:
Cell: 9.174 3.204 7.595 Å, 90.00 118.04 90.00°
Space group C2/m (No. 12)
One atom of each set of equivalent atoms:
Re1 0.150 0.000 0.190 [4 per cell]
Ge1 0.100 0.500 0.886 [4 per cell]
Ge2 0.148 0.000 0.538 [4 per cell]

Peak list (8 most intense, 2θ from 15° to 90°, in order of falling intensity)
2.057 Å, intensity 100.0; 2.563 Å, intensity 96.9; 4.535 Å, intensity 66.0; 2.064 Å, intensity 62.4; 1.893 Å, intensity 60.7; 2.234 Å, intensity 55.9; 2.133 Å, intensity 52.2; 2.915 Å, intensity 45.6

3.
Diffraction record for Y2Hf2O7. The XRD peak list is simulated, not measured: it uses a crystal structure in the Materials Project, relaxed with PBE and copper Kα.
Intensities are scaled so that the largest is 100.

Structure:
Cell: 7.314 7.314 12.524 Å, 90.00 90.00 90.00°
Space group P4_12_12 (No. 92)
One atom of each set of equivalent atoms:
Y1 0.125 0.363 0.384 [8 per cell]
Hf1 0.099 0.872 0.095 [8 per cell]
O1 0.070 0.909 0.915 [8 per cell]
O2 0.082 0.326 0.574 [8 per cell]
O3 0.140 0.347 0.203 [8 per cell]
O4 0.143 0.857 0.250 [4 per cell]

Peak list (8 most intense, 2θ from 15° to 90°, in order of falling intensity)
3.510 Å, intensity 100.0; 3.271 Å, intensity 78.3; 3.164 Å, intensity 68.0; 2.751 Å, intensity 67.0; 3.131 Å, intensity 57.5; 4.764 Å, intensity 56.8; 2.575 Å, intensity 50.8; 1.623 Å, intensity 44.9

4.
Diffraction record for Dy5BiAu2. The XRD peak list is simulated, not measured: it uses a crystal structure in the Materials Project, relaxed with PBE and copper Kα.
Intensities are scaled so that the largest is 100.

Structure:
Cell: 7.417 7.417 17.637 Å, 90.00 90.00 90.00°
Space group I4/mcm (No. 140)
One atom of each set of equivalent atoms:
Dy1 0.000 0.000 0.000 [4 per cell]
Dy2 0.167 0.333 0.162 [16 per cell]
Bi1 0.000 0.000 0.250 [4 per cell]
Au1 0.127 0.373 0.000 [8 per cell]

Peak list (8 most intense, 2θ from 15° to 90°, in order of falling intensity)
3.260 Å, intensity 100.0; 2.345 Å, intensity 57.1; 2.838 Å, intensity 36.3; 2.416 Å, intensity 34.0; 2.006 Å, intensity 32.7; 2.939 Å, intensity 32.2; 1.833 Å, intensity 15.2; 1.245 Å, intensity 15.1

5.
Diffraction record for LuB2Os. The XRD peak list is simulated, not measured: it uses a crystal structure in the Materials Project, relaxed with PBE and copper Kα.
Intensities are scaled so that the largest is 100.

Structure:
Cell: 5.819 5.263 6.306 Å, 90.00 90.00 90.00°
Space group Pnma (No. 62)
One atom of each set of equivalent atoms:
Lu1 0.011 0.250 0.166 [4 per cell]
B1 0.140 0.582 0.464 [8 per cell]
Os1 0.177 0.250 0.681 [4 per cell]

Peak list (8 most intense, 2θ from 15° to 90°, in order of falling intensity)
2.361 Å, intensity 100.0; 2.453 Å, intensity 80.5; 2.631 Å, intensity 65.4; 1.462 Å, intensity 40.7; 3.153 Å, intensity 31.2; 1.852 Å, intensity 29.6; 1.253 Å, intensity 26.3; 2.546 Å, intensity 25.6

6.
Diffraction record for BaCu2GeSe4. The XRD peak list is simulated, not measured: it uses a crystal structure in the Materials Project, relaxed with PBE and copper Kα.
Intensities are scaled so that the largest is 100.

Structure:
Cell: 6.5972 6.5972 16.4047 Å, 90.00 90.00 120.00°
Space group P3_121 (No. 152)
One atom of each set of equivalent atoms:
Ba1 0.0000 0.4487 0.1667 [3 per cell]
Cu1 0.0775 0.4332 0.9222 [6 per cell]
Ge1 0.0000 0.2864 0.6667 [3 per cell]
Se1 0.0406 0.5321 0.5510 [6 per cell]
Se2 0.1062 0.7703 0.9975 [6 per cell]

Peak list (8 most intense, 2θ from 15° to 90°, in order of falling intensity)
2.532 Å, intensity 100.0; 2.845 Å, intensity 95.2; 3.299 Å, intensity 86.1; 3.950 Å, intensity 59.7; 3.332 Å, intensity 51.8; 1.804 Å, intensity 51.2; 3.060 Å, intensity 45.0; 2.857 Å, intensity 44.9

7.
Diffraction record for MgV3Ag2TeS6. The XRD peak list is simulated, not measured: it uses a crystal structure in the Materials Project, relaxed with PBE and copper Kα.
Intensities are scaled so that the largest is 100.

Structure:
Cell: 5.583 9.504 11.050 Å, 90.00 103.91 90.00°
Space group Cm (No. 8)
One atom of each set of equivalent atoms:
Mg1 0.000 0.000 0.000 [2 per cell]
V1 0.137 0.335 0.288 [4 per cell]
V2 0.141 0.000 0.290 [2 per cell]
Ag1 0.058 0.205 0.659 [4 per cell]
Te1 0.280 0.500 0.750 [2 per cell]
S1 0.035 0.168 0.425 [4 per cell]
S2 0.036 0.500 0.422 [2 per cell]
S3 0.404 0.331 0.152 [4 per cell]
S4 0.408 0.000 0.149 [2 per cell]

Peak list (8 most intense, 2θ from 15° to 90°, in order of falling intensity)
5.363 Å, intensity 100.0; 2.731 Å, intensity 78.7; 2.043 Å, intensity 46.7; 4.699 Å, intensity 44.9; 3.575 Å, intensity 23.4; 2.407 Å, intensity 21.8; 1.922 Å, intensity 21.4; 3.557 Å, intensity 20.7

8.
Diffraction record for NaDyO2. The XRD peak list is simulated, not measured: it uses a crystal structure in the Materials Project, relaxed with PBE and copper Kα.
Intensities are scaled so that the largest is 100.

Structure:
Cell: 3.4310 3.4310 16.7136 Å, 90.00 90.00 120.00°
Space group R-3m (No. 166, hexagonal axes)
One atom of each set of equivalent atoms:
Na1 0.0000 0.0000 0.0000 [3 per cell]
Dy1 0.0000 0.0000 0.5000 [3 per cell]
O1 0.0000 0.0000 0.2372 [6 per cell]

Peak list (8 most intense, 2θ from 15° to 90°, in order of falling intensity)
5.571 Å, intensity 100.0; 2.421 Å, intensity 83.7; 2.800 Å, intensity 61.2; 2.925 Å, intensity 53.1; 1.461 Å, intensity 28.5; 1.716 Å, intensity 28.4; 1.709 Å, intensity 26.6; 1.640 Å, intensity 22.6

9.
Diffraction record for Rb2ScInCl6. The XRD peak list is simulated, not measured: it uses a crystal structure in the Materials Project, relaxed with PBE and copper Kα.
Intensities are scaled so that the largest is 100.

Structure:
Cell: 11.056 11.056 11.056 Å, 90.00 90.00 90.00°
Space group Fm-3m (No. 225)
One atom of each set of equivalent atoms:
Rb1 0.250 0.250 0.250 [8 per cell]
Sc1 0.000 0.000 0.000 [4 per cell]
In1 0.000 0.000 0.500 [4 per cell]
Cl1 0.000 0.000 0.226 [24 per cell]

Peak list (8 most intense, 2θ from 15° to 90°, in order of falling intensity)
3.909 Å, intensity 100.0; 2.764 Å, intensity 82.6; 1.954 Å, intensity 53.3; 2.257 Å, intensity 42.4; 3.192 Å, intensity 27.9; 1.477 Å, intensity 25.8; 1.748 Å, intensity 24.5; 1.236 Å, intensity 19.8

10.
Diffraction record for NaMg14Ti. The XRD peak list is simulated, not measured: it uses a crystal structure in the Materials Project, relaxed with PBE and copper Kα.
Intensities are scaled so that the largest is 100.

Structure:
Cell: 6.4370 6.4370 10.1985 Å, 90.00 90.00 120.00°
Space group P-6m2 (No. 187)
One atom of each set of equivalent atoms:
Na1 0.0000 0.0000 0.0000 [1 per cell]
Mg1 0.0027 0.5014 0.0000 [3 per cell]
Mg2 0.0031 0.5015 0.5000 [3 per cell]
Mg3 0.1650 0.3300 0.2563 [6 per cell]
Mg4 0.6667 0.3333 0.2498 [2 per cell]
Ti1 0.0000 0.0000 0.5000 [1 per cell]

Peak list (8 most intense, 2θ from 15° to 90°, in order of falling intensity)
2.446 Å, intensity 100.0; 2.550 Å, intensity 24.9; 2.787 Å, intensity 24.5; 1.361 Å, intensity 18.7; 1.451 Å, intensity 17.5; 1.609 Å, intensity 17.2; 1.881 Å, intensity 14.7; 1.344 Å, intensity 13.5

11.
Diffraction record for Mg7Si4. The XRD peak list is simulated, not measured: it uses a crystal structure in the Materials Project, relaxed with PBE and copper Kα.
Intensities are scaled so that the largest is 100.

Structure:
Cell: 5.279 5.986 14.301 Å, 81.67 87.01 82.63°
Space group P1 (No. 1)
One atom of each set of equivalent atoms:
Mg1 0.000 0.000 0.000 [1 per cell]
Mg2 0.004 0.122 0.205 [1 per cell]
Mg3 0.113 0.410 0.835 [1 per cell]
Mg4 0.132 0.340 0.621 [1 per cell]
Mg5 0.186 0.318 0.408 [1 per cell]
Mg6 0.216 0.914 0.792 [1 per cell]
Mg7 0.246 0.850 0.560 [1 per cell]
Mg8 0.470 0.381 0.188 [1 per cell]
Mg9 0.488 0.818 0.348 [1 per cell]
Mg10 0.510 0.886 0.125 [1 per cell]
Mg11 0.585 0.519 0.711 [1 per cell]
Mg12 0.712 0.010 0.663 [1 per cell]
Mg13 0.898 0.502 0.032 [1 per cell]
Mg14 0.955 0.621 0.239 [1 per cell]
Si1 0.399 0.663 0.976 [1 per cell]
Si2 0.419 0.256 0.990 [1 per cell]
Si3 0.609 0.360 0.522 [1 per cell]
Si4 0.684 0.168 0.852 [1 per cell]
Si5 0.701 0.262 0.362 [1 per cell]
Si6 0.722 0.761 0.852 [1 per cell]
Si7 0.766 0.717 0.531 [1 per cell]
Si8 0.977 0.884 0.390 [1 per cell]

Peak list (8 most intense, 2θ from 15° to 90°, in order of falling intensity)
2.510 Å, intensity 100.0; 2.589 Å, intensity 94.3; 2.524 Å, intensity 88.1; 2.638 Å, intensity 81.0; 2.557 Å, intensity 67.7; 2.121 Å, intensity 53.5; 2.237 Å, intensity 53.5; 2.664 Å, intensity 48.8

12.
Diffraction record for Mg6SiSnO8. The XRD peak list is simulated, not measured: it uses a crystal structure in the Materials Project, relaxed with PBE and copper Kα.
Intensities are scaled so that the largest is 100.

Structure:
Cell: 4.513 4.513 8.814 Å, 90.00 90.00 90.00°
Space group P4/mmm (No. 123)
One atom of each set of equivalent atoms:
Mg1 0.000 0.000 0.000 [1 per cell]
Mg2 0.000 0.000 0.500 [1 per cell]
Mg3 0.000 0.500 0.241 [4 per cell]
Si1 0.500 0.500 0.000 [1 per cell]
Sn1 0.500 0.500 0.500 [1 per cell]
O1 0.000 0.000 0.248 [2 per cell]
O2 0.000 0.500 0.000 [2 per cell]
O3 0.000 0.500 0.500 [2 per cell]
O4 0.500 0.500 0.226 [2 per cell]

Peak list (8 most intense, 2θ from 15° to 90°, in order of falling intensity)
2.256 Å, intensity 100.0; 1.577 Å, intensity 56.3; 2.585 Å, intensity 46.7; 2.204 Å, intensity 44.6; 4.017 Å, intensity 36.0; 4.513 Å, intensity 31.3; 1.596 Å, intensity 30.5; 1.292 Å, intensity 27.1